Diffraction record for Rb2MnH2OF5. The XRD peak list is theoretical, not measured: it uses DFT lattice parameters and positions (GGA+U) and CuKα.

```
Rb2MnH2OF5
1.0
4.840 -4.114 0.000
4.840 4.114 0.000
0.000 0.000 8.537
Rb Mn H O F
4 2 4 2 10
direct
0.002 0.580 0.750
0.420 0.998 0.750
0.580 0.002 0.250
0.998 0.420 0.250
0.500 0.500 0.000
0.500 0.500 0.500
0.131 0.869 0.158
0.131 0.869 0.342
0.869 0.131 0.658
0.869 0.131 0.842
0.059 0.941 0.250
0.941 0.059 0.750
0.267 0.733 0.004
0.267 0.733 0.496
0.305 0.305 0.000
0.305 0.305 0.500
0.489 0.511 0.750
0.511 0.489 0.250
0.695 0.695 0.000
0.695 0.695 0.500
0.733 0.267 0.504
0.733 0.267 0.996
```

Top 8 peaks for 2θ from 10° to 80°, low angle first:
| 2theta | I (rel.) |
| --- | --- |
| 14.13 | 65 |
| 25.24 | 51 |
| 27.87 | 90 |
| 28.47 | 62 |
| 30.17 | 73 |
| 31.57 | 64 |
| 35.54 | 100 |
| 42.35 | 51 |